Starting from a DFT-relaxed cell (GGA+U, the Materials Project), the powder diffractogram of VInO4 was calculated for Cu Kα, 1.54184 Å.
Intensities are scaled so that the largest is 1000.

```
24
Lattice="5.2352 -4.7966 0.0000 5.2352 4.7966 0.0000 -1.8486 0.0000 6.9333" Properties=species:S:1:pos:R:3 pbc="T T T"
V 1.2638 0.0000 4.1080
V 5.2352 2.4272 0.0000
V 5.2352 -2.4272 0.0000
V 7.3579 0.0000 2.8253
In 2.7953 0.0000 0.9007
In 4.3109 1.7908 3.4667
In 4.3109 -1.7908 3.4667
In 5.8264 0.0000 6.0326
O 2.9029 3.3643 3.3054
O 2.1843 3.3641 6.1927
O 6.4374 3.3641 0.7406
O 5.7189 3.3643 3.6279
O 1.5066 0.0000 5.7986
O 4.3898 1.4907 1.3011
O 2.9060 0.0000 3.1856
O 4.2320 1.4907 5.6322
O 4.3898 -1.4907 1.3011
O 5.7158 0.0000 3.7478
O 4.2320 -1.4907 5.6322
O 7.1151 0.0000 1.1347
O 2.9029 -3.3643 3.3054
O 2.1843 -3.3641 6.1927
O 6.4374 -3.3641 0.7406
O 5.7189 -3.3643 3.6279
```

Largest 10 diffraction maxima, in order of rising 2θ, 2θ from 10° to 90°:
Position (°2θ), intensity
12.7, 298
16.4, 162
18.9, 184
25.6, 1000
25.7, 216
26.6, 220
30.8, 215
33.0, 248
38.8, 277
51.1, 222